Starting from DFT lattice parameters and positions (GGA-PBE), the X-ray powder pattern of La2Tb7 was calculated for CuKα.

Crystal structure
Unit cell a=6.249 b=6.249 c=8.812 alpha=90.00 beta=90.00 gamma=120.00
Fractional positions:
La: 0.333 0.667 0.000
La: 0.667 0.333 0.000
Tb: 0.000 0.000 0.000
Tb: 0.000 0.332 0.662
Tb: 0.000 0.668 0.338
Tb: 0.332 0.000 0.662
Tb: 0.332 0.332 0.338
Tb: 0.668 0.000 0.338
Tb: 0.668 0.668 0.662

Principal peaks in the range 10° ≤ 2θ ≤ 90°, low angle first:
2theta	d [Å]	I/Imax
30.37	2.943	100.0
35.21	2.549	50.8
50.60	1.804	18.2
50.70	1.800	17.9
60.19	1.537	32.3
60.29	1.535	10.7

Starting from DFT lattice parameters and positions (GGA-PBE), the X-ray powder pattern of Li3IrPd was calculated for CuKα.

Crystal structure
Unit cell a=4.329 b=4.329 c=4.329 alpha=90.00 beta=90.00 gamma=90.00
Fractional positions:
Li: 0.000 0.000 0.500
Li: 0.000 0.500 0.000
Li: 0.500 0.000 0.000
Ir: 0.500 0.500 0.500
Pd: 0.000 0.000 0.000

Principal peaks in the range 10° ≤ 2θ ≤ 90°, low angle first:
2theta	d [Å]	I/Imax
29.17	3.061	100.0
41.73	2.165	21.8
51.72	1.767	40.9
60.48	1.531	14.6
68.54	1.369	17.5
83.56	1.157	20.7

Starting from DFT lattice parameters and positions (GGA-PBE), the X-ray powder pattern of Y3MgHg was calculated for CuKα.

Crystal structure
Unit cell a=10.698 b=10.698 c=5.179 alpha=90.00 beta=90.00 gamma=151.97
Fractional positions:
Y: 0.058 0.942 0.750
Y: 0.249 0.751 0.750
Y: 0.437 0.563 0.750
Y: 0.563 0.437 0.250
Y: 0.751 0.249 0.250
Y: 0.942 0.058 0.250
Mg: 0.154 0.846 0.250
Mg: 0.846 0.154 0.750
Hg: 0.339 0.661 0.250
Hg: 0.661 0.339 0.750

Principal peaks in the range 10° ≤ 2θ ≤ 90°, low angle first:
2theta	d [Å]	I/Imax
19.15	4.634	18.4
21.43	4.147	19.5
32.60	2.747	100.0
34.63	2.590	48.0
49.78	1.832	18.7
60.77	1.524	17.5

Starting from DFT lattice parameters and positions (GGA-PBE), the X-ray powder pattern of KNpIn2O8 was calculated for CuKα.

Crystal structure
Unit cell a=5.034 b=5.112 c=7.897 alpha=94.58 beta=90.39 gamma=91.88
Fractional positions:
K: 0.000 0.000 0.000
Np: 0.000 0.000 0.500
In: 0.494 0.516 0.696
In: 0.506 0.484 0.304
O: 0.188 0.206 0.692
O: 0.189 0.169 0.322
O: 0.299 0.700 0.499
O: 0.477 0.378 0.044
O: 0.523 0.622 0.956
O: 0.701 0.300 0.501
O: 0.811 0.831 0.678
O: 0.812 0.794 0.308

Principal peaks in the range 10° ≤ 2θ ≤ 90°, low angle first:
2theta	d [Å]	I/Imax
11.24	7.871	100.0
24.45	3.641	66.6
25.30	3.521	48.6
27.51	3.242	29.5
28.67	3.114	21.5
28.94	3.086	20.3